1.
PuInPb2O8: theoretical XRD peak list (Cu Ka), based on a crystal structure in Alexandria, relaxed with GGA-PBE.
Intensities are scaled so that the largest is 100.

Cell: 5.1123 5.1123 6.7847 Å, 90.00 90.00 90.71°
Atoms (fractional coordinates):
Pu 0.0000 0.0000 0.0000
In 0.0000 0.0000 0.5000
Pb 0.5000 0.5000 0.2529
Pb 0.5000 0.5000 0.7471
O 0.1864 0.8136 0.2343
O 0.1864 0.8136 0.7657
O 0.3014 0.3014 0.0000
O 0.3006 0.3006 0.5000
O 0.6986 0.6986 0.0000
O 0.6994 0.6994 0.5000
O 0.8136 0.1864 0.2343
O 0.8136 0.1864 0.7657

Peak list (12 most intense, 10° ≤ 2θ ≤ 90°, in order of rising 2θ)
3.637 Å, I = 57.2; 3.592 Å, I = 54.5; 2.827 Å, I = 100.0; 2.556 Å, I = 32.8; 1.902 Å, I = 40.5; 1.889 Å, I = 38.7; 1.623 Å, I = 9.9; 1.611 Å, I = 10.9; 1.537 Å, I = 9.8; 1.523 Å, I = 22.7; 1.413 Å, I = 11.7; 1.168 Å, I = 15.7


2.
TmSc2Au4: theoretical XRD peak list (Cu Ka), based on a crystal structure in Alexandria, relaxed with GGA-PBE.
Intensities are scaled so that the largest is 100.

Cell: 5.8779 5.8779 5.8779 Å, 108.11 108.11 112.22°
Atoms (fractional coordinates):
Tm 0.0000 0.0000 0.0000
Sc 0.0000 0.5000 0.5000
Sc 0.5000 0.0000 0.5000
Au 0.0000 0.0000 0.5000
Au 0.0000 0.5000 0.0000
Au 0.5000 0.0000 0.0000
Au 0.5000 0.5000 0.5000

Peak list (12 most intense, 10° ≤ 2θ ≤ 90°, in order of rising 2θ)
4.753 Å, I = 15.0; 3.450 Å, I = 34.1; 3.278 Å, I = 15.1; 2.440 Å, I = 53.9; 2.376 Å, I = 100.0; 1.957 Å, I = 15.1; 1.725 Å, I = 18.9; 1.639 Å, I = 8.0; 1.396 Å, I = 37.7; 1.360 Å, I = 17.3; 1.188 Å, I = 11.4; 1.091 Å, I = 9.2